[1]
The following is a computed powder diffraction line list of K2RbBa2Sr4. It was derived from a GGA-PBE-relaxed structure, using copper Kα.
Intensities are scaled so that the largest is 100.

Crystal structure
Lattice parameters (Å, degrees): 4.3952 4.3952 34.1633 90.00 90.00 120.00
Fractional positions:
1 K 0.0000 0.0000 0.0000
2 K 0.0000 0.0000 0.2443
3 Rb 0.3333 0.6667 0.1220
4 Ba 0.0000 0.0000 0.4593
5 Ba 0.3333 0.6667 0.7731
6 Sr 0.0000 0.0000 0.6672
7 Sr 0.0000 0.0000 0.8770
8 Sr 0.3333 0.6667 0.3547
9 Sr 0.3333 0.6667 0.5653

Most intense lines, 15 to 90 degrees two-theta, most intense first:
- 2θ = 26.81°, I = 100
- 2θ = 23.40°, I = 66
- 2θ = 25.62°, I = 47
- 2θ = 41.08°, I = 33
- 2θ = 47.82°, I = 32
- 2θ = 44.08°, I = 25


[2]
The following is a computed powder diffraction line list of K2BaReS4. It was derived from a GGA-PBE-relaxed structure, using copper Kα.
Intensities are scaled so that the largest is 100.

Crystal structure
Lattice parameters (Å, degrees): 6.6382 6.6382 6.6382 110.24 110.24 107.95
Fractional positions:
1 K 0.0000 0.0000 0.0000
2 K 0.7500 0.2500 0.5000
3 Ba 0.2500 0.7500 0.5000
4 Re 0.5000 0.5000 0.0000
5 S 0.2839 0.2841 0.5712
6 S 0.2873 0.7161 0.0002
7 S 0.7129 0.7127 0.4288
8 S 0.7159 0.2871 0.9998

Most intense lines, 15 to 90 degrees two-theta, most intense first:
- 2θ = 28.26°, I = 100
- 2θ = 16.28°, I = 85
- 2θ = 44.29°, I = 51
- 2θ = 33.38°, I = 50
- 2θ = 23.43°, I = 36
- 2θ = 28.67°, I = 25


[3]
The following is a computed powder diffraction line list of K2Ba10Rh3. It was derived from a GGA-PBE-relaxed structure, using copper Kα.
Intensities are scaled so that the largest is 100.

Crystal structure
Lattice parameters (Å, degrees): 15.7878 15.7878 12.3271 111.16 111.16 33.58
Fractional positions:
1 K 0.1223 0.1223 0.2446
2 K 0.2305 0.2305 0.8097
3 K 0.7695 0.7695 0.1903
4 K 0.8777 0.8777 0.7554
5 Ba 0.0000 0.5000 0.5000
6 Ba 0.0150 0.0150 0.6761
7 Ba 0.1269 0.6005 0.0512
8 Ba 0.1524 0.6297 0.4553
9 Ba 0.2673 0.2673 0.2171
10 Ba 0.2732 0.7268 0.0000
11 Ba 0.3703 0.8476 0.5447
12 Ba 0.3705 0.3705 0.7500
13 Ba 0.3995 0.8731 0.9488
14 Ba 0.4834 0.4834 0.3096
15 Ba 0.5000 0.0000 0.5000
16 Ba 0.5166 0.5166 0.6904
17 Ba 0.6005 0.1269 0.0512
18 Ba 0.6295 0.6295 0.2500
19 Ba 0.6297 0.1524 0.4553
20 Ba 0.7268 0.2732 0.0000
21 Ba 0.7327 0.7327 0.7829
22 Ba 0.8476 0.3703 0.5447
23 Ba 0.8731 0.3995 0.9488
24 Ba 0.9850 0.9850 0.3239
25 Rh 0.2513 0.7487 0.5000
26 Rh 0.3187 0.3187 0.4758
27 Rh 0.4251 0.4251 0.0212
28 Rh 0.5749 0.5749 0.9788
29 Rh 0.6813 0.6813 0.5242
30 Rh 0.7487 0.2513 0.5000

Most intense lines, 15 to 90 degrees two-theta, most intense first:
- 2θ = 26.37°, I = 100
- 2θ = 24.99°, I = 85
- 2θ = 40.14°, I = 56
- 2θ = 31.33°, I = 47
- 2θ = 23.96°, I = 44
- 2θ = 26.49°, I = 43


[4]
The following is a computed powder diffraction line list of K2Ba3Rh. It was derived from a GGA-PBE-relaxed structure, using copper Kα.
Intensities are scaled so that the largest is 100.

Crystal structure
Lattice parameters (Å, degrees): 8.5982 8.5982 9.2833 90.00 90.00 79.12
Fractional positions:
1 K 0.0574 0.6690 0.7500
2 K 0.3310 0.9426 0.7500
3 K 0.6690 0.0574 0.2500
4 K 0.9426 0.3310 0.2500
5 Ba 0.2135 0.7865 0.2500
6 Ba 0.3481 0.3481 0.0000
7 Ba 0.3481 0.3481 0.5000
8 Ba 0.6519 0.6519 0.0000
9 Ba 0.6519 0.6519 0.5000
10 Ba 0.7865 0.2135 0.7500
11 Rh 0.4870 0.5130 0.2500
12 Rh 0.5130 0.4870 0.7500

Most intense lines, 15 to 90 degrees two-theta, most intense first:
- 2θ = 29.07°, I = 100
- 2θ = 25.30°, I = 85
- 2θ = 23.40°, I = 68
- 2θ = 25.15°, I = 67
- 2θ = 37.37°, I = 59
- 2θ = 23.73°, I = 56


[5]
The following is a computed powder diffraction line list of KBa3S8. It was derived from a GGA-PBE-relaxed structure, using copper Kα.
Intensities are scaled so that the largest is 100.

Crystal structure
Lattice parameters (Å, degrees): 7.9538 7.9538 7.9538 115.52 115.52 97.96
Fractional positions:
1 K 0.0000 0.0000 0.0000
2 Ba 0.2500 0.7500 0.5000
3 Ba 0.5000 0.5000 0.0000
4 Ba 0.7500 0.2500 0.5000
5 S 0.1018 0.1018 0.5033
6 S 0.1018 0.5985 0.0000
7 S 0.4015 0.4015 0.5033
8 S 0.4015 0.8982 0.0000
9 S 0.5985 0.1018 0.0000
10 S 0.5985 0.5985 0.4967
11 S 0.8982 0.4015 0.0000
12 S 0.8982 0.8982 0.4967

Most intense lines, 15 to 90 degrees two-theta, most intense first:
- 2θ = 22.58°, I = 100
- 2θ = 29.78°, I = 65
- 2θ = 37.69°, I = 52
- 2θ = 40.58°, I = 46
- 2θ = 60.30°, I = 27
- 2θ = 42.61°, I = 23


[6]
The following is a computed powder diffraction line list of KBaS14. It was derived from a GGA-PBE-relaxed structure, using copper Kα.
Intensities are scaled so that the largest is 100.

Crystal structure
Lattice parameters (Å, degrees): 12.1139 12.1139 12.1139 143.08 94.84 96.66
Fractional positions:
1 K 0.3136 0.0636 0.2500
2 K 0.6864 0.9364 0.7500
3 Ba 0.0000 0.0000 0.5000
4 Ba 0.0000 0.5000 0.0000
5 S 0.0063 0.3623 0.1627
6 S 0.0063 0.8436 0.6439
7 S 0.0428 0.8892 0.1535
8 S 0.0691 0.6721 0.3969
9 S 0.2248 0.3279 0.8969
10 S 0.2357 0.8892 0.3465
11 S 0.2900 0.5994 0.6906
12 S 0.3003 0.1564 0.6627
13 S 0.3003 0.6377 0.1439
14 S 0.3277 0.4287 0.3762
15 S 0.3277 0.9515 0.8990
16 S 0.4088 0.5994 0.8094
17 S 0.4475 0.0485 0.8762
18 S 0.4475 0.5713 0.3990
19 S 0.5525 0.4287 0.6010
20 S 0.5525 0.9515 0.1238
21 S 0.5912 0.4006 0.1906
22 S 0.6723 0.0485 0.1010
23 S 0.6723 0.5713 0.6238
24 S 0.6997 0.3623 0.8561
25 S 0.6997 0.8436 0.3373
26 S 0.7100 0.4006 0.3094
27 S 0.7643 0.1108 0.6535
28 S 0.7752 0.6721 0.1031
29 S 0.9309 0.3279 0.6031
30 S 0.9572 0.1108 0.8465
31 S 0.9937 0.1564 0.3561
32 S 0.9937 0.6377 0.8373

Most intense lines, 15 to 90 degrees two-theta, most intense first:
- 2θ = 23.22°, I = 100
- 2θ = 27.97°, I = 41
- 2θ = 36.48°, I = 39
- 2θ = 28.98°, I = 37
- 2θ = 53.46°, I = 30
- 2θ = 34.09°, I = 26


[7]
The following is a computed powder diffraction line list of K2BaS. It was derived from a GGA-PBE-relaxed structure, using copper Kα.
Intensities are scaled so that the largest is 100.

Crystal structure
Lattice parameters (Å, degrees): 8.8084 8.8084 8.8084 96.88 96.88 139.51
Fractional positions:
1 K 0.3750 0.0147 0.1397
2 K 0.7647 0.6250 0.6397
3 K 0.8750 0.2353 0.8603
4 K 0.9853 0.1250 0.3603
5 Ba 0.2500 0.7500 0.5000
6 Ba 0.5000 0.5000 0.0000
7 S 0.0000 0.0000 0.0000
8 S 0.7500 0.2500 0.5000

Most intense lines, 15 to 90 degrees two-theta, most intense first:
- 2θ = 22.41°, I = 100
- 2θ = 15.16°, I = 92
- 2θ = 31.27°, I = 69
- 2θ = 34.31°, I = 62
- 2θ = 38.27°, I = 56
- 2θ = 21.51°, I = 53


[8]
The following is a computed powder diffraction line list of K2BaSn2S4. It was derived from a GGA-PBE-relaxed structure, using copper Kα.
Intensities are scaled so that the largest is 100.

Crystal structure
Lattice parameters (Å, degrees): 9.6253 9.6253 8.2101 102.51 102.51 25.59
Fractional positions:
1 K 0.1449 0.1449 0.1093
2 K 0.8551 0.8551 0.8907
3 Ba 0.0000 0.0000 0.5000
4 Sn 0.3085 0.3085 0.4309
5 Sn 0.6915 0.6915 0.5691
6 S 0.1578 0.1578 0.7395
7 S 0.4168 0.4168 0.6736
8 S 0.5832 0.5832 0.3264
9 S 0.8422 0.8422 0.2605

Most intense lines, 15 to 90 degrees two-theta, most intense first:
- 2θ = 26.50°, I = 100
- 2θ = 31.78°, I = 73
- 2θ = 24.46°, I = 37
- 2θ = 41.12°, I = 35
- 2θ = 40.47°, I = 28
- 2θ = 32.84°, I = 28


[9]
The following is a computed powder diffraction line list of K2BaTaS4. It was derived from a GGA-PBE-relaxed structure, using copper Kα.
Intensities are scaled so that the largest is 100.

Crystal structure
Lattice parameters (Å, degrees): 7.1049 7.1049 7.1049 115.93 115.93 97.20
Fractional positions:
1 K 0.0000 0.0000 0.0000
2 K 0.7500 0.2500 0.5000
3 Ba 0.5000 0.5000 0.0000
4 Ta 0.2500 0.7500 0.5000
5 S 0.1438 0.6419 0.0921
6 S 0.3581 0.4502 0.5019
7 S 0.5498 0.0517 0.9079
8 S 0.9483 0.8562 0.4981

Most intense lines, 15 to 90 degrees two-theta, most intense first:
- 2θ = 25.27°, I = 100
- 2θ = 15.07°, I = 70
- 2θ = 42.53°, I = 43
- 2θ = 33.63°, I = 33
- 2θ = 23.61°, I = 26
- 2θ = 45.50°, I = 26


[10]
The following is a computed powder diffraction line list of KBaTeS2. It was derived from a GGA-PBE-relaxed structure, using copper Kα.
Intensities are scaled so that the largest is 100.

Crystal structure
Lattice parameters (Å, degrees): 7.6747 5.6188 7.6606 90.00 104.05 90.00
Fractional positions:
1 K 0.0000 0.0085 0.2500
2 K 0.0000 0.9915 0.7500
3 Ba 0.5000 0.2787 0.7500
4 Ba 0.5000 0.7213 0.2500
5 Te 0.0000 0.5000 0.0000
6 Te 0.0000 0.5000 0.5000
7 S 0.2983 0.2371 0.0649
8 S 0.2983 0.7629 0.5649
9 S 0.7017 0.2371 0.4351
10 S 0.7017 0.7629 0.9351

Most intense lines, 15 to 90 degrees two-theta, most intense first:
- 2θ = 34.11°, I = 100
- 2θ = 24.64°, I = 81
- 2θ = 24.03°, I = 78
- 2θ = 33.48°, I = 77
- 2θ = 23.90°, I = 74
- 2θ = 28.81°, I = 71


[11]
The following is a computed powder diffraction line list of KBaTlS2. It was derived from a GGA-PBE-relaxed structure, using copper Kα.
Intensities are scaled so that the largest is 100.

Crystal structure
Lattice parameters (Å, degrees): 8.0345 6.5487 8.3203 90.00 94.95 90.00
Fractional positions:
1 K 0.0000 0.0179 0.2500
2 K 0.0000 0.9821 0.7500
3 Ba 0.5000 0.0673 0.7500
4 Ba 0.5000 0.9327 0.2500
5 Tl 0.0000 0.5000 0.0000
6 Tl 0.0000 0.5000 0.5000
7 S 0.2600 0.1736 0.0119
8 S 0.2600 0.8264 0.5119
9 S 0.7400 0.1736 0.4881
10 S 0.7400 0.8264 0.9881

Most intense lines, 15 to 90 degrees two-theta, most intense first:
- 2θ = 17.50°, I = 100
- 2θ = 25.43°, I = 58
- 2θ = 32.73°, I = 43
- 2θ = 35.26°, I = 36
- 2θ = 22.21°, I = 34
- 2θ = 35.42°, I = 30


[12]
The following is a computed powder diffraction line list of K2BaZr3S8. It was derived from a GGA-PBE-relaxed structure, using copper Kα.
Intensities are scaled so that the largest is 100.

Crystal structure
Lattice parameters (Å, degrees): 8.8341 8.8341 8.8341 52.49 52.49 52.49
Fractional positions:
1 K 0.0000 0.0000 0.0000
2 K 0.3632 0.3632 0.3632
3 Ba 0.6288 0.6288 0.6288
4 Zr 0.0000 0.0000 0.4917
5 Zr 0.0000 0.4917 0.0000
6 Zr 0.4917 0.0000 0.0000
7 S 0.1929 0.7436 0.7436
8 S 0.2283 0.2283 0.2283
9 S 0.2588 0.2588 0.7978
10 S 0.2588 0.7978 0.2588
11 S 0.7436 0.1929 0.7436
12 S 0.7436 0.7436 0.1929
13 S 0.7681 0.7681 0.7681
14 S 0.7978 0.2588 0.2588

Most intense lines, 15 to 90 degrees two-theta, most intense first:
- 2θ = 25.64°, I = 100
- 2θ = 38.37°, I = 78
- 2θ = 46.49°, I = 65
- 2θ = 20.38°, I = 62
- 2θ = 26.64°, I = 61
- 2θ = 41.44°, I = 61


[13]
The following is a computed powder diffraction line list of KBaSc2. It was derived from a GGA-PBE-relaxed structure, using copper Kα.
Intensities are scaled so that the largest is 100.

Crystal structure
Lattice parameters (Å, degrees): 5.7049 5.7049 8.6683 93.80 93.80 36.19
Fractional positions:
1 K 0.0000 0.0000 0.0000
2 Ba 0.7627 0.7627 0.3405
3 Sc 0.2444 0.2444 0.7114
4 Sc 0.5142 0.5142 0.5896

Most intense lines, 15 to 90 degrees two-theta, most intense first:
- 2θ = 28.65°, I = 100
- 2θ = 36.54°, I = 57
- 2θ = 25.46°, I = 56
- 2θ = 19.96°, I = 39
- 2θ = 33.12°, I = 38
- 2θ = 27.29°, I = 36